For Sm3Zr2Zn3, a crystal structure in Alexandria, relaxed with PBE gives the calculated powder diffractogram in this record (Cu Kα).
No peak broadening, texture or thermal motion is included.

Principal peaks in the range 2θ from 5° to 70°, most intense first:
Position (°2θ), I/Imax
35.4, 100
35.0, 27
33.9, 25
63.0, 18
49.5, 17
61.6, 15

Cell and atoms:
Cell: 11.027 11.027 11.027 Å, 161.71 153.11 32.71°
Positions (direct):
Sm 0.000 0.000 0.000
Sm 0.375 0.875 0.500
Sm 0.625 0.125 0.500
Zr 0.234 0.234 0.000
Zr 0.766 0.766 0.000
Zn 0.123 0.623 0.500
Zn 0.500 0.500 0.000
Zn 0.877 0.377 0.500